1.
Calculated powder diffractogram
Compound: Ti2Nb2Sb3O14
Radiation: Cu Ka
Structure: a cell relaxed with GGA-PBE

Most intense lines, 2θ = 10–90°, sorted by position:
| 2theta | d [Å] | Rel. int. |
| --- | --- | --- |
| 24.61 | 3.618 | 27 |
| 26.61 | 3.350 | 38 |
| 28.22 | 3.162 | 100 |
| 28.90 | 3.089 | 57 |
| 31.28 | 2.860 | 29 |
| 51.66 | 1.769 | 21 |

Structural model:
Lattice parameters (Å, degrees): 20.1852 20.1852 5.6841 92.21 92.21 14.09
Fractional coordinates of all 42 atoms:
1 Ti 0.0155 0.4270 0.1948
2 Ti 0.4270 0.0155 0.6948
3 Ti 0.5730 0.9845 0.3052
4 Ti 0.9845 0.5730 0.8052
5 Nb 0.1772 0.6720 0.5979
6 Nb 0.3280 0.8228 0.9021
7 Nb 0.6720 0.1772 0.0979
8 Nb 0.8228 0.3280 0.4021
9 Sb 0.1577 0.5382 0.1880
10 Sb 0.1956 0.8044 0.2500
11 Sb 0.4618 0.8423 0.3120
12 Sb 0.5382 0.1577 0.6880
13 Sb 0.8044 0.1956 0.7500
14 Sb 0.8423 0.4618 0.8120
15 O 0.0536 0.8893 0.5659
16 O 0.0787 0.1035 0.1799
17 O 0.1035 0.0787 0.6799
18 O 0.1107 0.9464 0.9341
19 O 0.1829 0.2182 0.8998
20 O 0.2182 0.1829 0.3998
21 O 0.2476 0.3958 0.8761
22 O 0.2504 0.2698 0.1331
23 O 0.2698 0.2504 0.6331
24 O 0.2953 0.4607 0.5228
25 O 0.3958 0.2476 0.3761
26 O 0.4063 0.4750 0.2924
27 O 0.4607 0.2953 0.0228
28 O 0.4750 0.4063 0.7924
29 O 0.5250 0.5937 0.2076
30 O 0.5393 0.7047 0.9772
31 O 0.5937 0.5250 0.7076
32 O 0.6042 0.7524 0.6239
33 O 0.7047 0.5393 0.4772
34 O 0.7302 0.7496 0.3669
35 O 0.7496 0.7302 0.8669
36 O 0.7524 0.6042 0.1239
37 O 0.7818 0.8171 0.6002
38 O 0.8171 0.7818 0.1002
39 O 0.8893 0.0536 0.0659
40 O 0.8965 0.9213 0.3201
41 O 0.9213 0.8965 0.8201
42 O 0.9464 0.1107 0.4341


2.
Calculated powder diffractogram
Compound: NbZnSbO6
Radiation: Cu Ka
Structure: a cell relaxed with GGA-PBE

Most intense lines, 2θ = 10–90°, sorted by position:
| 2theta | d [Å] | Rel. int. |
| --- | --- | --- |
| 19.44 | 4.565 | 37 |
| 27.62 | 3.229 | 100 |
| 33.98 | 2.638 | 50 |
| 39.46 | 2.284 | 38 |
| 44.34 | 2.043 | 27 |
| 53.06 | 1.726 | 53 |

Structural model:
Lattice parameters (Å, degrees): 5.2759 5.2759 9.1289 90.00 90.00 120.00
Fractional coordinates of all 18 atoms:
1 Nb 0.3333 0.6667 0.2500
2 Nb 0.6667 0.3333 0.7500
3 Zn 0.0000 0.0000 0.0000
4 Zn 0.0000 0.0000 0.5000
5 Sb 0.3333 0.6667 0.7500
6 Sb 0.6667 0.3333 0.2500
7 O 0.0017 0.3529 0.6323
8 O 0.0017 0.6488 0.8677
9 O 0.3512 0.3529 0.8677
10 O 0.3512 0.9983 0.6323
11 O 0.3529 0.0017 0.1323
12 O 0.3529 0.3512 0.3677
13 O 0.6471 0.6488 0.6323
14 O 0.6471 0.9983 0.8677
15 O 0.6488 0.0017 0.3677
16 O 0.6488 0.6471 0.1323
17 O 0.9983 0.3512 0.1323
18 O 0.9983 0.6471 0.3677


3.
Calculated powder diffractogram
Compound: ScNb2Tl3O9
Radiation: Cu Ka
Structure: a cell relaxed with GGA-PBE

Most intense lines, 2θ = 10–90°, sorted by position:
| 2theta | d [Å] | Rel. int. |
| --- | --- | --- |
| 21.58 | 4.118 | 17 |
| 30.71 | 2.912 | 100 |
| 37.87 | 2.376 | 12 |
| 43.98 | 2.059 | 29 |
| 54.62 | 1.680 | 30 |
| 88.96 | 1.100 | 11 |

Structural model:
Lattice parameters (Å, degrees): 5.8177 5.8177 7.1467 90.00 90.00 120.00
Fractional coordinates of all 15 atoms:
1 Sc 0.0000 0.0000 0.0000
2 Nb 0.3333 0.6667 0.6783
3 Nb 0.6667 0.3333 0.3217
4 Tl 0.0000 0.0000 0.5000
5 Tl 0.3333 0.6667 0.1825
6 Tl 0.6667 0.3333 0.8175
7 O 0.0000 0.5000 0.5000
8 O 0.1698 0.3397 0.8254
9 O 0.1698 0.8302 0.8254
10 O 0.3397 0.1698 0.1746
11 O 0.5000 0.0000 0.5000
12 O 0.5000 0.5000 0.5000
13 O 0.6603 0.8302 0.8254
14 O 0.8302 0.1698 0.1746
15 O 0.8302 0.6603 0.1746


4.
Calculated powder diffractogram
Compound: Nb2Se4O13
Radiation: Cu Ka
Structure: a cell relaxed with GGA-PBE

Most intense lines, 2θ = 10–90°, sorted by position:
| 2theta | d [Å] | Rel. int. |
| --- | --- | --- |
| 24.14 | 3.687 | 92 |
| 25.74 | 3.461 | 51 |
| 26.36 | 3.382 | 100 |
| 35.58 | 2.523 | 19 |
| 35.98 | 2.496 | 19 |
| 36.10 | 2.488 | 20 |

Structural model:
Lattice parameters (Å, degrees): 11.7054 6.9221 7.7509 90.00 109.12 90.00
Fractional coordinates of all 38 atoms:
1 Nb 0.0000 0.0063 0.0000
2 Nb 0.0000 0.9937 0.5000
3 Nb 0.6525 0.4915 0.1181
4 Nb 0.6525 0.5085 0.6181
5 Se 0.3250 0.0719 0.2245
6 Se 0.3250 0.9281 0.7245
7 Se 0.3417 0.4872 0.5683
8 Se 0.3417 0.5128 0.0683
9 Se 0.6661 0.0648 0.8511
10 Se 0.6661 0.9352 0.3511
11 Se 0.9872 0.4363 0.2647
12 Se 0.9872 0.5637 0.7647
13 O 0.0061 0.2847 0.0990
14 O 0.0061 0.7153 0.5990
15 O 0.1777 0.0148 0.6120
16 O 0.1777 0.9852 0.1120
17 O 0.2371 0.4226 0.3752
18 O 0.2371 0.5774 0.8752
19 O 0.3264 0.2454 0.0425
20 O 0.3264 0.7546 0.5425
21 O 0.4096 0.0979 0.6770
22 O 0.4096 0.9021 0.1770
23 O 0.4726 0.4774 0.4998
24 O 0.4726 0.5226 0.9998
25 O 0.6440 0.2165 0.0155
26 O 0.6440 0.7835 0.5155
27 O 0.6472 0.4224 0.3410
28 O 0.6472 0.5776 0.8410
29 O 0.6683 0.2210 0.6750
30 O 0.6683 0.7790 0.1750
31 O 0.8176 0.0154 0.9469
32 O 0.8176 0.9846 0.4469
33 O 0.8334 0.4783 0.1747
34 O 0.8334 0.5217 0.6747
35 O 0.9895 0.2816 0.4449
36 O 0.9895 0.7184 0.9449
37 O 0.9963 0.0769 0.7731
38 O 0.9963 0.9231 0.2731


5.
Calculated powder diffractogram
Compound: Sm3NbSe3O4
Radiation: Cu Ka
Structure: a cell relaxed with GGA-PBE

Most intense lines, 2θ = 10–90°, sorted by position:
| 2theta | d [Å] | Rel. int. |
| --- | --- | --- |
| 27.04 | 3.297 | 40 |
| 28.80 | 3.100 | 100 |
| 31.80 | 2.814 | 30 |
| 35.24 | 2.547 | 30 |
| 36.64 | 2.452 | 48 |
| 42.98 | 2.104 | 36 |

Structural model:
Lattice parameters (Å, degrees): 6.9439 7.8143 14.9870 90.00 90.00 90.00
Fractional coordinates of all 44 atoms:
1 Sm 0.2137 0.0069 0.1533
2 Sm 0.2137 0.4931 0.1533
3 Sm 0.2166 0.2500 0.9176
4 Sm 0.2834 0.7500 0.4176
5 Sm 0.2863 0.5069 0.6533
6 Sm 0.2863 0.9931 0.6533
7 Sm 0.7137 0.0069 0.3467
8 Sm 0.7137 0.4931 0.3467
9 Sm 0.7166 0.2500 0.5824
10 Sm 0.7834 0.7500 0.0824
11 Sm 0.7863 0.5069 0.8467
12 Sm 0.7863 0.9931 0.8467
13 Nb 0.1753 0.7500 0.9324
14 Nb 0.3247 0.2500 0.4324
15 Nb 0.6753 0.7500 0.5676
16 Nb 0.8247 0.2500 0.0676
17 Se 0.0000 0.0000 0.5000
18 Se 0.0000 0.5000 0.5000
19 Se 0.0029 0.2500 0.7286
20 Se 0.0509 0.2500 0.2974
21 Se 0.4491 0.7500 0.7974
22 Se 0.4971 0.7500 0.2286
23 Se 0.5000 0.0000 0.0000
24 Se 0.5000 0.5000 0.0000
25 Se 0.5029 0.2500 0.7714
26 Se 0.5509 0.2500 0.2026
27 Se 0.9491 0.7500 0.7026
28 Se 0.9971 0.7500 0.2714
29 O 0.1137 0.5268 0.8862
30 O 0.1137 0.9732 0.8862
31 O 0.1323 0.2500 0.0680
32 O 0.1427 0.7500 0.0622
33 O 0.3573 0.2500 0.5622
34 O 0.3677 0.7500 0.5680
35 O 0.3863 0.0268 0.3862
36 O 0.3863 0.4732 0.3862
37 O 0.6137 0.5268 0.6138
38 O 0.6137 0.9732 0.6138
39 O 0.6323 0.2500 0.4320
40 O 0.6427 0.7500 0.4378
41 O 0.8573 0.2500 0.9378
42 O 0.8677 0.7500 0.9320
43 O 0.8863 0.0268 0.1138
44 O 0.8863 0.4732 0.1138


6.
Calculated powder diffractogram
Compound: NbTlSe2O8
Radiation: Cu Ka
Structure: a cell relaxed with GGA-PBE

Most intense lines, 2θ = 10–90°, sorted by position:
| 2theta | d [Å] | Rel. int. |
| --- | --- | --- |
| 18.11 | 4.898 | 53 |
| 18.24 | 4.863 | 57 |
| 20.96 | 4.238 | 76 |
| 27.94 | 3.193 | 56 |
| 28.58 | 3.123 | 100 |
| 31.72 | 2.821 | 74 |

Structural model:
Lattice parameters (Å, degrees): 5.6466 5.6466 8.3111 92.26 92.26 59.48
Fractional coordinates of all 12 atoms:
1 Nb 0.0000 0.0000 0.0000
2 Tl 0.0000 0.0000 0.5000
3 Se 0.3527 0.3527 0.8006
4 Se 0.6473 0.6473 0.1994
5 O 0.1880 0.1880 0.9550
6 O 0.2280 0.7104 0.8232
7 O 0.2896 0.7720 0.1768
8 O 0.3031 0.3031 0.6080
9 O 0.6969 0.6969 0.3920
10 O 0.7104 0.2280 0.8232
11 O 0.7720 0.2896 0.1768
12 O 0.8120 0.8120 0.0450